1.
The following is a computed XRD peak list of RbNaTlBi2. It was derived from a cell relaxed with PBE, using Cu Kα (weighted mean of Kα1 and Kα2).
Peak positions follow from Bragg's law for the DFT cell and can differ from measured ones.

Cell and atoms:
```
RbNaTlBi2
1.0
-2.3078 2.7602 7.3535
2.3078 -2.7602 7.3535
2.3078 2.7602 -7.3535
Rb Na Tl Bi
1 1 1 2
direct
0.0000 0.0000 0.0000
0.2279 0.7279 0.5000
0.3872 0.3872 0.0000
0.6095 0.6095 0.0000
0.7584 0.2584 0.5000
```

Principal peaks in the range 10° ≤ 2θ ≤ 90°, sorted by position:
| two_theta | d (Å) | Rel. int. |
| --- | --- | --- |
| 17.16 | 5.168 | 79 |
| 20.16 | 4.404 | 64 |
| 24.28 | 3.666 | 44 |
| 26.52 | 3.361 | 56 |
| 27.97 | 3.190 | 100 |
| 32.44 | 2.760 | 60 |
| 34.55 | 2.596 | 63 |
| 35.19 | 2.550 | 99 |

---

2.
The following is a computed XRD peak list of Rb2NaZnBi2. It was derived from a cell relaxed with PBE, using Cu Kα (weighted mean of Kα1 and Kα2).
Peak positions follow from Bragg's law for the DFT cell and can differ from measured ones.

Cell and atoms:
```
Rb2NaZnBi2
1.0
-3.7287 8.3732 3.6554
3.7287 -8.3732 3.6554
3.7287 8.3732 -3.6554
Rb Na Zn Bi
4 2 2 4
direct
0.1671 0.2413 0.4083
0.3329 0.7413 0.0742
0.6671 0.2587 0.9258
0.8329 0.7587 0.5917
0.2500 0.2500 0.0000
0.7500 0.7500 0.0000
0.2500 0.7500 0.5000
0.7500 0.2500 0.5000
0.0944 0.7101 0.8045
0.4056 0.2101 0.6158
0.5944 0.7899 0.3842
0.9056 0.2899 0.1955
```

Principal peaks in the range 10° ≤ 2θ ≤ 90°, sorted by position:
| two_theta | d (Å) | Rel. int. |
| --- | --- | --- |
| 20.04 | 4.430 | 49 |
| 23.86 | 3.729 | 33 |
| 24.35 | 3.655 | 39 |
| 27.31 | 3.265 | 100 |
| 32.14 | 2.785 | 33 |
| 32.52 | 2.754 | 36 |
| 34.36 | 2.610 | 55 |
| 46.76 | 1.943 | 38 |

---

3.
The following is a computed XRD peak list of NaTlReBi2. It was derived from a cell relaxed with PBE, using Cu Kα (weighted mean of Kα1 and Kα2).
Peak positions follow from Bragg's law for the DFT cell and can differ from measured ones.

Cell and atoms:
```
NaTlReBi2
1.0
5.9060 0.0000 0.0000
0.0000 5.9060 0.0000
0.0000 0.0000 5.2789
Na Tl Re Bi
1 1 1 2
direct
0.0000 0.0000 0.0000
0.5000 0.5000 0.5000
0.5000 0.5000 0.0000
0.0000 0.5000 0.5000
0.5000 0.0000 0.5000
```

Principal peaks in the range 10° ≤ 2θ ≤ 90°, sorted by position:
| two_theta | d (Å) | Rel. int. |
| --- | --- | --- |
| 15.00 | 5.906 | 100 |
| 16.79 | 5.279 | 48 |
| 27.23 | 3.275 | 69 |
| 30.27 | 2.953 | 100 |
| 33.95 | 2.640 | 65 |
| 43.33 | 2.088 | 38 |
| 46.12 | 1.968 | 70 |
| 56.17 | 1.638 | 43 |

---

4.
The following is a computed XRD peak list of NaBi2Ru. It was derived from a cell relaxed with PBE, using Cu Kα (weighted mean of Kα1 and Kα2).
Peak positions follow from Bragg's law for the DFT cell and can differ from measured ones.

Cell and atoms:
```
NaBi2Ru
1.0
3.3945 0.0000 0.0000
0.0000 3.3945 0.0000
0.0000 0.0000 8.5620
Na Bi Ru
1 2 1
direct
0.0000 0.0000 0.0000
0.5000 0.5000 0.3035
0.5000 0.5000 0.6965
0.0000 0.0000 0.5000
```

Principal peaks in the range 10° ≤ 2θ ≤ 90°, sorted by position:
| two_theta | d (Å) | Rel. int. |
| --- | --- | --- |
| 10.33 | 8.562 | 88 |
| 26.25 | 3.395 | 37 |
| 33.70 | 2.660 | 100 |
| 37.47 | 2.400 | 54 |
| 41.33 | 2.184 | 52 |
| 54.03 | 1.697 | 19 |
| 65.21 | 1.431 | 30 |
| 70.23 | 1.340 | 23 |

---

5.
The following is a computed XRD peak list of NaBi4S5. It was derived from a cell relaxed with PBE, using Cu Kα (weighted mean of Kα1 and Kα2).
Peak positions follow from Bragg's law for the DFT cell and can differ from measured ones.

Cell and atoms:
```
NaBi4S5
1.0
-4.6433 4.6433 2.9880
4.6433 -4.6433 2.9880
4.6433 4.6433 -2.9880
Na Bi S
1 4 5
direct
0.0000 0.0000 0.0000
0.2042 0.5986 0.8029
0.4014 0.2042 0.6056
0.5986 0.7958 0.3944
0.7958 0.4014 0.1971
0.1004 0.3130 0.4134
0.3130 0.8996 0.2127
0.5000 0.5000 0.0000
0.6870 0.1004 0.7873
0.8996 0.6870 0.5866
```

Principal peaks in the range 10° ≤ 2θ ≤ 90°, sorted by position:
| two_theta | d (Å) | Rel. int. |
| --- | --- | --- |
| 17.65 | 5.025 | 21 |
| 26.13 | 3.410 | 100 |
| 29.90 | 2.988 | 39 |
| 30.44 | 2.937 | 77 |
| 43.19 | 2.094 | 59 |
| 43.59 | 2.077 | 28 |
| 51.53 | 1.774 | 35 |
| 53.76 | 1.705 | 30 |

---

6.
The following is a computed XRD peak list of Na4Sc3BiS8. It was derived from a cell relaxed with PBE, using Cu Kα (weighted mean of Kα1 and Kα2).
Peak positions follow from Bragg's law for the DFT cell and can differ from measured ones.

Cell and atoms:
```
Na4Sc3BiS8
1.0
6.6901 -3.8621 0.0000
6.6901 3.8621 0.0000
-4.4607 0.0000 6.6473
Na Sc Bi S
4 3 1 8
direct
0.0000 0.0000 0.0000
0.0000 0.5000 0.0000
0.5000 0.0000 0.0000
0.5000 0.5000 0.0000
0.0000 0.0000 0.5000
0.0000 0.5000 0.5000
0.5000 0.0000 0.5000
0.5000 0.5000 0.5000
0.2232 0.7499 0.7221
0.2381 0.2381 0.7141
0.2501 0.7768 0.2779
0.2510 0.2510 0.2796
0.7490 0.7490 0.7204
0.7499 0.2232 0.7221
0.7619 0.7619 0.2859
0.7768 0.2501 0.2779
```

Principal peaks in the range 10° ≤ 2θ ≤ 90°, sorted by position:
| two_theta | d (Å) | Rel. int. |
| --- | --- | --- |
| 13.32 | 6.647 | 51 |
| 13.96 | 6.342 | 28 |
| 15.95 | 5.555 | 26 |
| 26.69 | 3.340 | 18 |
| 27.03 | 3.299 | 16 |
| 32.23 | 2.778 | 100 |
| 45.37 | 1.999 | 34 |
| 47.06 | 1.931 | 33 |